Entry 1:
KMn: computed powder diffractogram (λ = 1.5418 Å (Cu Kα)), based on a cell relaxed with GGA-PBE.
Peak positions follow from Bragg's law for the DFT cell and can differ from measured ones.

The 10 most intense peaks (2θ from 10° to 90°), low angle first:
2θ = 10.73°, I = 100; 2θ = 14.25°, I = 18; 2θ = 26.25°, I = 31; 2θ = 26.92°, I = 48; 2θ = 29.91°, I = 26; 2θ = 32.55°, I = 13; 2θ = 41.53°, I = 14; 2θ = 41.92°, I = 16; 2θ = 44.75°, I = 15; 2θ = 50.52°, I = 14

a b c (Å): 4.311 11.020 12.433
angles (deg): 90.00 90.00 90.00
Atoms (fractional coordinates):
K 0.001 0.144 0.255
K 0.005 0.581 0.569
K 0.495 0.419 0.069
K 0.499 0.856 0.755
K 0.501 0.356 0.745
K 0.505 0.919 0.431
K 0.995 0.081 0.931
K 0.999 0.644 0.245
Mn 0.008 0.110 0.607
Mn 0.008 0.290 0.481
Mn 0.492 0.710 0.981
Mn 0.492 0.890 0.107
Mn 0.508 0.210 0.519
Mn 0.508 0.390 0.393
Mn 0.992 0.610 0.893
Mn 0.992 0.790 0.019

Entry 2:
ScVIr: computed powder diffractogram (λ = 1.5418 Å (Cu Kα)), based on a cell relaxed with GGA-PBE.
Peak positions follow from Bragg's law for the DFT cell and can differ from measured ones.

The 10 most intense peaks (2θ from 10° to 90°), low angle first:
2θ = 17.57°, I = 54; 2θ = 30.28°, I = 49; 2θ = 39.62°, I = 100; 2θ = 41.37°, I = 46; 2θ = 45.26°, I = 21; 2θ = 54.28°, I = 15; 2θ = 59.93°, I = 15; 2θ = 68.62°, I = 11; 2θ = 70.68°, I = 16; 2θ = 74.26°, I = 30

a b c (Å): 5.500 5.500 5.500
angles (deg): 147.41 147.41 46.76
Atoms (fractional coordinates):
Sc 0.000 0.000 0.000
V 0.680 0.680 0.000
Ir 0.322 0.322 0.000

Copy entry 2 word for word.
ScVIr: computed powder diffractogram (λ = 1.5418 Å (Cu Kα)), based on a cell relaxed with GGA-PBE.
Peak positions follow from Bragg's law for the DFT cell and can differ from measured ones.

The 10 most intense peaks (2θ from 10° to 90°), low angle first:
2θ = 17.57°, I = 54; 2θ = 30.28°, I = 49; 2θ = 39.62°, I = 100; 2θ = 41.37°, I = 46; 2θ = 45.26°, I = 21; 2θ = 54.28°, I = 15; 2θ = 59.93°, I = 15; 2θ = 68.62°, I = 11; 2θ = 70.68°, I = 16; 2θ = 74.26°, I = 30

a b c (Å): 5.500 5.500 5.500
angles (deg): 147.41 147.41 46.76
Atoms (fractional coordinates):
Sc 0.000 0.000 0.000
V 0.680 0.680 0.000
Ir 0.322 0.322 0.000